Computed PXRD pattern of Ti2GaI8 for Cu Ka, from a PBE-relaxed structure.

Cell and atoms:
Cell lengths 9.164, 9.164, 7.483 Å; angles 95.55, 95.55, 70.86 degrees
Element x y z (fractional)
Ti1 0.194 0.194 0.145
Ti2 0.806 0.806 0.855
Ga1 0.000 0.000 0.500
I1 0.082 0.700 0.735
I2 0.184 0.184 0.796
I3 0.300 0.918 0.265
I4 0.361 0.361 0.277
I5 0.639 0.639 0.723
I6 0.700 0.082 0.735
I7 0.816 0.816 0.204
I8 0.918 0.300 0.265

Principal peaks in the range 2θ from 5° to 70°, sorted by position:
- 10.24°, I 28.6
- 23.10°, I 100.0
- 23.97°, I 69.4
- 24.27°, I 33.2
- 24.55°, I 37.0
- 39.64°, I 25.8
- 40.74°, I 22.3
- 48.80°, I 19.6

***

Computed PXRD pattern of DyTm2Bi for Cu Ka, from a PBE-relaxed structure.

Cell and atoms:
Cell lengths 4.606, 22.492, 4.567 Å; angles 90.00, 90.00, 90.00 degrees
Element x y z (fractional)
Dy1 0.000 0.192 0.250
Dy2 0.000 0.808 0.750
Dy3 0.500 0.308 0.750
Dy4 0.500 0.692 0.250
Tm1 0.000 0.059 0.750
Tm2 0.000 0.442 0.750
Tm3 0.000 0.558 0.250
Tm4 0.000 0.941 0.250
Tm5 0.500 0.058 0.250
Tm6 0.500 0.441 0.250
Tm7 0.500 0.559 0.750
Tm8 0.500 0.942 0.750
Bi1 0.000 0.333 0.250
Bi2 0.000 0.667 0.750
Bi3 0.500 0.167 0.750
Bi4 0.500 0.833 0.250

Principal peaks in the range 2θ from 5° to 70°, sorted by position:
- 27.79°, I 23.8
- 30.02°, I 61.2
- 31.83°, I 32.9
- 34.08°, I 100.0
- 39.11°, I 27.0
- 39.46°, I 30.1
- 51.28°, I 17.5
- 56.78°, I 21.0

***

Computed PXRD pattern of KSb5 for Cu Ka, from a PBE-relaxed structure.

Cell and atoms:
Cell lengths 4.103, 5.108, 19.800 Å; angles 90.00, 90.00, 90.00 degrees
Element x y z (fractional)
K1 0.000 0.000 0.000
K2 0.000 0.500 0.500
Sb1 0.000 0.000 0.361
Sb2 0.000 0.000 0.672
Sb3 0.000 0.500 0.172
Sb4 0.000 0.500 0.861
Sb5 0.500 0.000 0.251
Sb6 0.500 0.000 0.575
Sb7 0.500 0.000 0.839
Sb8 0.500 0.500 0.075
Sb9 0.500 0.500 0.339
Sb10 0.500 0.500 0.751

Principal peaks in the range 2θ from 5° to 70°, sorted by position:
- 8.93°, I 38.0
- 17.93°, I 26.9
- 22.00°, I 22.0
- 28.25°, I 24.5
- 31.07°, I 100.0
- 35.14°, I 27.8
- 36.31°, I 19.1
- 42.67°, I 19.9

***

Computed PXRD pattern of Li2SnP2O7 for Cu Ka, from a PBE-relaxed structure.

Cell and atoms:
Cell lengths 8.725, 5.088, 15.062 Å; angles 90.00, 111.16, 90.00 degrees
Element x y z (fractional)
Li1 0.002 0.245 0.178
Li2 0.002 0.255 0.678
Li3 0.412 0.231 0.168
Li4 0.412 0.269 0.668
Li5 0.588 0.731 0.332
Li6 0.588 0.769 0.832
Li7 0.998 0.745 0.322
Li8 0.998 0.755 0.822
Sn1 0.290 0.241 0.881
Sn2 0.290 0.259 0.381
Sn3 0.710 0.741 0.619
Sn4 0.710 0.759 0.119
P1 0.215 0.744 0.702
P2 0.215 0.756 0.202
P3 0.303 0.743 0.034
P4 0.303 0.757 0.534
P5 0.697 0.243 0.466
P6 0.697 0.257 0.966
P7 0.785 0.244 0.798
P8 0.785 0.256 0.298
O1 0.066 0.621 0.718
O2 0.066 0.879 0.218
O3 0.175 0.692 0.588
O4 0.175 0.808 0.088
O5 0.213 0.666 0.431
O6 0.213 0.834 0.931
O7 0.222 0.046 0.716
O8 0.222 0.454 0.216
O9 0.342 0.050 0.543
O10 0.342 0.450 0.043
O11 0.376 0.603 0.756
O12 0.376 0.897 0.256
O13 0.456 0.583 0.584
O14 0.456 0.917 0.084
O15 0.544 0.083 0.916
O16 0.544 0.417 0.416
O17 0.624 0.103 0.744
O18 0.624 0.397 0.244
O19 0.658 0.550 0.957
O20 0.658 0.950 0.457
O21 0.778 0.546 0.784
O22 0.778 0.954 0.284
O23 0.787 0.166 0.069
O24 0.787 0.334 0.569
O25 0.825 0.192 0.912
O26 0.825 0.308 0.412
O27 0.934 0.121 0.782
O28 0.934 0.379 0.282

Principal peaks in the range 2θ from 5° to 70°, sorted by position:
- 13.35°, I 54.9
- 21.57°, I 100.0
- 21.85°, I 64.3
- 27.35°, I 30.1
- 29.57°, I 54.9
- 34.09°, I 23.9
- 35.90°, I 44.8
- 43.94°, I 19.1

***

Computed PXRD pattern of MgSn6Pb for Cu Ka, from a PBE-relaxed structure.

Cell and atoms:
Cell lengths 4.592, 4.592, 10.369 Å; angles 90.00, 90.00, 90.00 degrees
Element x y z (fractional)
Mg1 0.000 0.000 0.000
Sn1 0.000 0.500 0.238
Sn2 0.000 0.500 0.762
Sn3 0.500 0.000 0.238
Sn4 0.500 0.000 0.762
Sn5 0.500 0.500 0.000
Sn6 0.500 0.500 0.500
Pb1 0.000 0.000 0.500

Principal peaks in the range 2θ from 5° to 70°, sorted by position:
- 32.54°, I 100.0
- 34.60°, I 20.5
- 39.24°, I 30.8
- 53.30°, I 24.6
- 56.70°, I 10.8
- 60.71°, I 15.8
- 66.91°, I 26.9
- 68.15°, I 12.1

***

Computed PXRD pattern of Pa4Co2Bi5 for Cu Ka, from a PBE-relaxed structure.

Cell and atoms:
Cell lengths 8.827, 3.299, 9.741 Å; angles 90.00, 95.03, 90.00 degrees
Element x y z (fractional)
Pa1 0.192 0.000 0.453
Pa2 0.193 0.000 0.839
Pa3 0.807 0.000 0.161
Pa4 0.808 0.000 0.547
Co1 0.070 0.500 0.631
Co2 0.930 0.500 0.369
Bi1 0.140 0.500 0.151
Bi2 0.469 0.500 0.664
Bi3 0.500 0.500 0.000
Bi4 0.531 0.500 0.336
Bi5 0.860 0.500 0.849

Principal peaks in the range 2θ from 5° to 70°, sorted by position:
- 30.27°, I 53.8
- 30.50°, I 78.8
- 32.90°, I 58.9
- 33.96°, I 100.0
- 34.91°, I 58.0
- 37.95°, I 28.5
- 39.00°, I 32.4
- 39.72°, I 27.0

***

Computed PXRD pattern of U8Tc2Os3 for Cu Ka, from a PBE-relaxed structure.

Cell and atoms:
Cell lengths 7.308, 7.308, 5.298 Å; angles 110.08, 110.08, 82.59 degrees
Element x y z (fractional)
U1 0.078 0.078 0.271
U2 0.080 0.578 0.859
U3 0.371 0.371 0.437
U4 0.422 0.920 0.141
U5 0.578 0.080 0.859
U6 0.629 0.629 0.563
U7 0.920 0.422 0.141
U8 0.922 0.922 0.729
Tc1 0.210 0.210 0.865
Tc2 0.790 0.790 0.135
Os1 0.223 0.777 0.500
Os2 0.500 0.500 0.000
Os3 0.777 0.223 0.500

Principal peaks in the range 2θ from 5° to 70°, sorted by position:
- 31.85°, I 22.9
- 36.11°, I 27.1
- 37.03°, I 23.6
- 37.29°, I 51.7
- 37.78°, I 100.0
- 38.80°, I 18.7
- 41.35°, I 22.2
- 45.12°, I 20.7

***

Computed PXRD pattern of Th5Si4 for Cu Ka, from a PBE-relaxed structure.

Cell and atoms:
Cell lengths 5.948, 5.948, 9.941 Å; angles 110.03, 110.03, 43.70 degrees
Element x y z (fractional)
Th1 0.000 0.000 0.000
Th2 0.105 0.105 0.392
Th3 0.250 0.250 0.835
Th4 0.750 0.750 0.165
Th5 0.895 0.895 0.608
Si1 0.388 0.388 0.391
Si2 0.453 0.453 0.175
Si3 0.547 0.547 0.825
Si4 0.612 0.612 0.609

Principal peaks in the range 2θ from 5° to 70°, sorted by position:
- 21.86°, I 50.4
- 27.74°, I 66.6
- 30.44°, I 35.0
- 31.36°, I 95.7
- 31.61°, I 100.0
- 33.85°, I 35.8
- 40.76°, I 35.7
- 51.72°, I 38.2

***

Computed PXRD pattern of Ce3As5Rh6 for Cu Ka, from a PBE-relaxed structure.

Cell and atoms:
Cell lengths 4.061, 12.707, 9.841 Å; angles 90.00, 90.00, 90.00 degrees
Element x y z (fractional)
Ce1 0.250 0.088 0.250
Ce2 0.250 0.412 0.250
Ce3 0.250 0.750 0.241
Ce4 0.750 0.250 0.759
Ce5 0.750 0.588 0.750
Ce6 0.750 0.912 0.750
As1 0.250 0.080 0.652
As2 0.250 0.420 0.652
As3 0.250 0.631 0.971
As4 0.250 0.750 0.645
As5 0.250 0.869 0.971
As6 0.750 0.131 0.029
As7 0.750 0.250 0.355
As8 0.750 0.369 0.029
As9 0.750 0.580 0.348
As10 0.750 0.920 0.348
Rh1 0.250 0.054 0.900
Rh2 0.250 0.250 0.012
Rh3 0.250 0.250 0.513
Rh4 0.250 0.446 0.900
Rh5 0.250 0.583 0.494
Rh6 0.250 0.917 0.494
Rh7 0.750 0.083 0.506
Rh8 0.750 0.417 0.506
Rh9 0.750 0.554 0.100
Rh10 0.750 0.750 0.487
Rh11 0.750 0.750 0.988
Rh12 0.750 0.946 0.100

Principal peaks in the range 2θ from 5° to 70°, sorted by position:
- 34.59°, I 24.5
- 35.17°, I 32.9
- 35.65°, I 100.0
- 42.69°, I 21.7
- 42.98°, I 14.4
- 44.63°, I 31.0
- 63.47°, I 13.1
- 65.18°, I 13.0

***

Computed PXRD pattern of LaSm3B24 for Cu Ka, from a PBE-relaxed structure.

Cell and atoms:
Cell lengths 7.200, 7.200, 5.784 Å; angles 90.00, 90.00, 110.07 degrees
Element x y z (fractional)
La1 0.000 0.000 0.000
Sm1 0.253 0.747 0.500
Sm2 0.500 0.500 0.000
Sm3 0.747 0.253 0.500
B1 0.075 0.426 0.152
B2 0.075 0.426 0.848
B3 0.100 0.100 0.500
B4 0.150 0.651 0.000
B5 0.176 0.325 0.348
B6 0.176 0.325 0.652
B7 0.325 0.176 0.348
B8 0.325 0.176 0.652
B9 0.349 0.850 0.000
B10 0.401 0.401 0.500
B11 0.426 0.075 0.152
B12 0.426 0.075 0.848
B13 0.574 0.925 0.152
B14 0.574 0.925 0.848
B15 0.599 0.599 0.500
B16 0.651 0.150 0.000
B17 0.675 0.824 0.348
B18 0.675 0.824 0.652
B19 0.824 0.675 0.348
B20 0.824 0.675 0.652
B21 0.850 0.349 0.000
B22 0.900 0.900 0.500
B23 0.925 0.574 0.152
B24 0.925 0.574 0.848

Principal peaks in the range 2θ from 5° to 70°, sorted by position:
- 21.52°, I 99.1
- 30.30°, I 25.9
- 30.63°, I 100.0
- 30.92°, I 24.2
- 37.48°, I 32.0
- 37.99°, I 31.3
- 43.85°, I 32.2
- 49.36°, I 49.7

***

Computed PXRD pattern of K4Pa3Se8 for Cu Ka, from a PBE-relaxed structure.

Cell and atoms:
Cell lengths 9.621, 9.621, 9.621 Å; angles 53.16, 53.16, 53.16 degrees
Element x y z (fractional)
K1 0.000 0.000 0.000
K2 0.143 0.143 0.143
K3 0.500 0.500 0.500
K4 0.857 0.857 0.857
Pa1 0.000 0.500 0.500
Pa2 0.500 0.000 0.500
Pa3 0.500 0.500 0.000
Se1 0.248 0.248 0.700
Se2 0.248 0.700 0.248
Se3 0.272 0.272 0.272
Se4 0.300 0.752 0.752
Se5 0.700 0.248 0.248
Se6 0.728 0.728 0.728
Se7 0.752 0.300 0.752
Se8 0.752 0.752 0.300

Principal peaks in the range 2θ from 5° to 70°, sorted by position:
- 10.74°, I 100.0
- 12.40°, I 18.4
- 24.14°, I 30.4
- 27.95°, I 76.9
- 35.00°, I 43.1
- 37.82°, I 35.7
- 41.98°, I 35.5
- 43.46°, I 21.9

***

Computed PXRD pattern of CeTh4In for Cu Ka, from a PBE-relaxed structure.

Cell and atoms:
Cell lengths 11.153, 4.758, 7.241 Å; angles 90.00, 108.42, 90.00 degrees
Element x y z (fractional)
Ce1 0.000 0.000 0.000
Ce2 0.500 0.500 0.000
Th1 0.162 0.500 0.836
Th2 0.166 0.500 0.340
Th3 0.334 0.000 0.660
Th4 0.338 0.000 0.164
Th5 0.662 0.000 0.836
Th6 0.666 0.000 0.340
Th7 0.834 0.500 0.660
Th8 0.838 0.500 0.164
In1 0.000 0.000 0.500
In2 0.500 0.500 0.500

Principal peaks in the range 2θ from 5° to 70°, sorted by position:
- 31.04°, I 100.0
- 31.58°, I 95.8
- 35.37°, I 38.3
- 35.70°, I 34.4
- 37.82°, I 29.8
- 52.74°, I 23.3
- 52.98°, I 22.6
- 60.49°, I 15.3